(1)
The following is a simulated powder diffractogram of Nb2Se3S. It was derived from the PBE geometry in OQMD, using a wavelength of 1.5418 Å.

The 10 most intense peaks (2θ from 15° to 90°), in order of rising 2θ:
| 2theta | Rel. int. | h k l |
| --- | --- | --- |
| 30.8 | 59 | 0 1 1 |
| 33.1 | 73 | 0 1 2 |
| 36.7 | 45 | 1 0 3 |
| 41.2 | 100 | 0 1 4 |
| 46.6 | 14 | 1 0 5 |
| 52.5 | 14 | 1 0 6 |
| 53.2 | 47 | 1 1 0 |
| 55.2 | 13 | 1 1 2 |
| 69.4 | 21 | 2 0 4 |
| 81.9 | 25 | 1 1 8 |

Atomic structure:
```
data_Nb2Se3S
_symmetry_space_group_name_H-M 'P 3 m 1'
_symmetry_Int_Tables_number 156
_cell_length_a 3.4448
_cell_length_b 3.4448
_cell_length_c 12.8878
_cell_angle_alpha 90.00
_cell_angle_beta 90.00
_cell_angle_gamma 120.00
loop_
_symmetry_equiv_pos_as_xyz
'x,y,z'
'-y,x-y,z'
'-x+y,-x,z'
'-y,-x,z'
'-x+y,y,z'
'x,x-y,z'
loop_
_atom_site_label
_atom_site_type_symbol
_atom_site_fract_x
_atom_site_fract_y
_atom_site_fract_z
Nb1 Nb 0.0000 0.0000 0.0000
Nb2 Nb 0.0000 0.0000 0.4925
Se1 Se 0.3333 0.6667 0.6264
Se2 Se 0.6667 0.3333 0.1322
Se3 Se 0.6667 0.3333 0.8686
S1 S 0.3333 0.6667 0.3759
```


(2)
The following is a simulated powder diffractogram of Gd2ErTmAl2. It was derived from the PBE geometry in OQMD, using a wavelength of 1.5418 Å.

The 10 most intense peaks (2θ from 15° to 90°), in order of rising 2θ:
| 2theta | Rel. int. | h k l |
| --- | --- | --- |
| 23.7 | 54 | 1 0 1 |
| 33.4 | 100 | 1 0 2 |
| 34.2 | 90 | 1 1 0 |
| 48.6 | 35 | 2 0 2 |
| 55.3 | 19 | 0 0 4 |
| 60.8 | 36 | 2 1 2 |
| 61.3 | 17 | 3 0 0 |
| 66.7 | 26 | 1 1 4 |
| 81.8 | 16 | 3 1 2 |
| 87.2 | 15 | 3 0 4 |

Atomic structure:
```
data_Gd2ErTmAl2
_symmetry_space_group_name_H-M 'P -6 m 2'
_symmetry_Int_Tables_number 187
_symmetry_space_group_name_Hall 'P -6 2'
_cell_length_a 5.2402
_cell_length_b 5.2402
_cell_length_c 6.6425
_cell_angle_alpha 90.00
_cell_angle_beta 90.00
_cell_angle_gamma 120.00
loop_
_atom_site_label
_atom_site_type_symbol
_atom_site_fract_x
_atom_site_fract_y
_atom_site_fract_z
Gd1 Gd 0.0000 0.0000 0.2494
Er1 Er 0.3333 0.6667 0.5000
Tm1 Tm 0.6667 0.3333 0.0000
Al1 Al 0.3333 0.6667 0.0000
Al2 Al 0.6667 0.3333 0.5000
```


(3)
The following is a simulated powder diffractogram of CuAg. It was derived from the PBE geometry in OQMD, using a wavelength of 1.5418 Å.

The 10 most intense peaks (2θ from 15° to 90°), in order of rising 2θ:
| 2theta | Rel. int. | h k l |
| --- | --- | --- |
| 35.3 | 13 | 1 0 4 |
| 37.6 | 100 | 1 0 5 |
| 40.2 | 72 | 1 0 -6 |
| 42.3 | 17 | 0 0 10 |
| 43.1 | 35 | 1 0 7 |
| 44.3 | 83 | 1 1 0 |
| 62.9 | 15 | 1 1 10 |
| 64.5 | 25 | 0 2 0 |
| 74.2 | 12 | 1 0 15 |
| 77.1 | 11 | 2 1 5 |

Atomic structure:
```
data_CuAg
_symmetry_space_group_name_H-M 'P 1'
_symmetry_Int_Tables_number 1
_cell_length_a 2.8875
_cell_length_b 2.8904
_cell_length_c 21.3688
_cell_angle_alpha 89.99
_cell_angle_beta 89.93
_cell_angle_gamma 89.89
loop_
_symmetry_equiv_pos_as_xyz
'x,y,z'
loop_
_atom_site_label
_atom_site_type_symbol
_atom_site_fract_x
_atom_site_fract_y
_atom_site_fract_z
Cu1 Cu 0.0000 0.0000 0.0000
Cu2 Cu 0.0040 0.9995 0.8650
Cu3 Cu 0.4915 0.4933 0.2020
Cu4 Cu 0.4974 0.4994 0.0674
Cu5 Cu 0.5020 0.5000 0.9325
Cu6 Cu 0.9944 0.9968 0.1346
Ag1 Ag 0.0084 0.9932 0.6805
Ag2 Ag 0.4933 0.4919 0.3853
Ag3 Ag 0.5005 0.5003 0.5820
Ag4 Ag 0.5110 0.4910 0.7802
Ag5 Ag 0.9886 0.9933 0.2864
Ag6 Ag 0.9988 0.0002 0.4836
```


(4)
The following is a simulated powder diffractogram of Th3Pt4. It was derived from the PBE geometry in OQMD, using a wavelength of 1.5418 Å.

The 10 most intense peaks (2θ from 15° to 90°), in order of rising 2θ:
| 2theta | Rel. int. | h k l |
| --- | --- | --- |
| 31.0 | 35 | 4 -3 1 |
| 34.4 | 100 | 1 4 0 |
| 36.2 | 16 | 3 2 1 |
| 36.6 | 72 | 3 -2 2 |
| 41.2 | 19 | 3 1 2 |
| 48.9 | 13 | 4 3 1 |
| 51.1 | 16 | 4 2 2 |
| 62.8 | 12 | 9 -4 1 |
| 63.1 | 11 | 8 -3 2 |
| 64.3 | 17 | 0 8 1 |

Atomic structure:
```
data_Th3Pt4
_symmetry_space_group_name_H-M 'R -3'
_symmetry_Int_Tables_number 148
_symmetry_space_group_name_Hall '-R 3'
_cell_length_a 13.8038
_cell_length_b 13.8038
_cell_length_c 5.8388
_cell_angle_alpha 90.00
_cell_angle_beta 90.00
_cell_angle_gamma 120.00
loop_
_atom_site_label
_atom_site_type_symbol
_atom_site_fract_x
_atom_site_fract_y
_atom_site_fract_z
Th1 Th 0.0401 0.2095 0.2384
Pt1 Pt 0.0000 0.0000 0.0000
Pt2 Pt 0.0000 0.0000 0.5000
Pt3 Pt 0.0563 0.2761 0.7171
```


(5)
The following is a simulated powder diffractogram of LiAgTeIrSe2. It was derived from the PBE geometry in OQMD, using a wavelength of 1.5418 Å.

The 10 most intense peaks (2θ from 15° to 90°), in order of rising 2θ:
| 2theta | Rel. int. | h k l |
| --- | --- | --- |
| 26.6 | 23 | 1 1 1 |
| 31.1 | 100 | 1 3 0 |
| 32.3 | 29 | 1 3 1 |
| 34.6 | 61 | 0 0 4 |
| 37.0 | 21 | 0 2 4 |
| 40.7 | 24 | 1 5 0 |
| 44.4 | 26 | 1 5 2 |
| 47.2 | 61 | 1 3 4 |
| 49.9 | 22 | 2 0 0 |
| 62.1 | 22 | 2 0 4 |

Atomic structure:
```
data_LiAgTeIrSe2
_symmetry_space_group_name_H-M 'C m c m'
_symmetry_Int_Tables_number 63
_symmetry_space_group_name_Hall '-C 2c 2'
_cell_length_a 3.6559
_cell_length_b 13.9619
_cell_length_c 10.3654
_cell_angle_alpha 90.00
_cell_angle_beta 90.00
_cell_angle_gamma 90.00
loop_
_atom_site_label
_atom_site_type_symbol
_atom_site_fract_x
_atom_site_fract_y
_atom_site_fract_z
Li1 Li 0.0000 0.2147 0.2500
Ag1 Ag 0.0000 0.1341 0.7500
Te1 Te 0.0000 0.4443 0.7500
Ir1 Ir 0.0000 0.5000 0.0000
Se1 Se 0.0000 0.1258 0.5097
```


(6)
The following is a simulated powder diffractogram of Sm4C2Br2Cl3. It was derived from the PBE geometry in OQMD, using a wavelength of 1.5418 Å.

The 10 most intense peaks (2θ from 15° to 90°), in order of rising 2θ:
| 2theta | Rel. int. | h k l |
| --- | --- | --- |
| 27.5 | 21 | 3 1 0 |
| 28.5 | 34 | 3 1 -1 |
| 29.3 | 74 | 6 0 0 |
| 31.3 | 31 | 3 1 1 |
| 32.6 | 100 | 1 1 -2 |
| 33.9 | 23 | 5 1 0 |
| 43.9 | 38 | 7 1 -2 |
| 44.8 | 40 | 5 1 2 |
| 47.5 | 22 | 0 2 0 |
| 56.8 | 22 | 6 2 0 |

Atomic structure:
```
data_Sm4C2Br2Cl3
_symmetry_space_group_name_H-M 'C 1 2/m 1'
_symmetry_Int_Tables_number 12
_cell_length_a 18.8377
_cell_length_b 3.8271
_cell_length_c 7.8787
_cell_angle_alpha 90.00
_cell_angle_beta 103.65
_cell_angle_gamma 90.00
loop_
_symmetry_equiv_pos_as_xyz
'x,y,z'
'-x,-y,-z'
'-x,y,-z'
'x,-y,z'
'x+1/2,y+1/2,z'
'-x+1/2,-y+1/2,-z'
'-x+1/2,y+1/2,-z'
'x+1/2,-y+1/2,z'
loop_
_atom_site_label
_atom_site_type_symbol
_atom_site_fract_x
_atom_site_fract_y
_atom_site_fract_z
Sm1 Sm 0.0011 0.0000 0.2920
Sm2 Sm 0.1595 0.5000 0.5980
C1 C 0.0386 0.5000 0.5225
Br1 Br 0.1619 0.0000 0.8766
Cl1 Cl 0.0000 0.5000 0.0000
Cl2 Cl 0.1708 0.0000 0.3404
```


What is the formula in the fourth record?
Th3Pt4